This entry pairs a crystal structure of Ba3Ta2Se9 with its simulated X-ray diffraction stick pattern. Radiation: Cu Kα X-rays. Structure: the GGA-PBE geometry in Alexandria.

```
Ba3Ta2Se9
1.0
6.105 3.525 6.057
-6.105 3.525 6.057
0.000 -7.050 6.057
Ba Ta Se
6 4 18
Cartesian
-4.097 -0.047 7.571
-2.008 -3.572 10.600
2.090 -3.525 7.571
-2.090 3.525 10.600
2.008 3.572 7.571
4.097 0.047 10.600
0.000 0.000 2.765
0.000 0.000 6.320
0.000 0.000 11.851
0.000 0.000 15.405
-1.083 -5.213 7.561
-2.044 0.000 4.543
-5.056 -1.669 10.610
-1.083 -1.836 7.582
1.022 -1.770 4.543
-3.973 3.544 7.561
-2.132 0.020 10.589
1.022 1.770 4.543
-1.049 1.856 7.582
1.049 -1.856 10.589
-1.022 -1.770 13.628
2.132 -0.020 7.582
3.973 -3.544 10.610
-1.022 1.770 13.628
1.083 1.836 10.589
5.056 1.669 7.561
2.044 0.000 13.628
1.083 5.213 10.610
```

The 12 most intense peaks (10° ≤ 2θ ≤ 90°), sorted by position:
two_theta	I_rel
14.5	24.0
25.3	28.0
29.5	15.9
32.9	100.0
33.0	18.1
42.0	40.4
51.9	31.0
54.5	23.1
60.8	11.1
62.8	20.5
84.3	11.7
85.7	12.6


This entry pairs a crystal structure of Ba3TaSe6 with its simulated X-ray diffraction stick pattern. Radiation: Cu Kα X-rays. Structure: the GGA-PBE geometry in Alexandria.

```
Ba3TaSe6
1.0
7.584 0.000 0.000
0.000 8.092 0.000
-7.209 0.000 10.842
Ba Ta Se
6 2 12
Cartesian
0.000 0.000 0.000
-3.605 4.046 5.421
-3.255 0.688 8.190
0.349 3.358 2.769
0.025 4.735 8.074
3.630 7.404 2.653
0.187 0.000 5.421
3.792 4.046 0.000
-0.795 0.278 3.059
-4.400 3.768 8.480
1.707 5.444 0.626
-1.897 6.695 6.047
2.575 1.835 0.707
-1.029 2.211 6.128
1.404 5.881 4.714
-2.201 6.257 10.135
2.272 1.397 4.795
-1.333 2.649 10.216
4.774 4.324 2.362
1.169 7.814 7.783
```

The 12 most intense peaks (10° ≤ 2θ ≤ 90°), sorted by position:
two_theta	I_rel
16.0	43.4
22.0	37.5
22.7	95.7
23.3	100.0
27.0	45.5
32.4	87.4
33.0	55.9
33.2	39.0
35.3	44.2
40.0	39.7
41.5	66.3
53.8	39.3


This entry pairs a crystal structure of BaTa4Se8 with its simulated X-ray diffraction stick pattern. Radiation: Cu Kα X-rays. Structure: the GGA-PBE geometry in Alexandria.

```
BaTa4Se8
1.0
0.000 5.486 5.486
5.486 0.000 5.486
5.486 5.486 0.000
Ba Ta Se
1 4 8
Cartesian
0.000 0.000 0.000
4.347 4.347 4.347
6.625 6.625 4.347
6.625 4.347 6.625
4.347 6.625 6.625
6.904 4.068 4.068
1.653 1.653 1.653
3.833 3.833 1.653
3.833 1.653 3.833
1.653 3.833 3.833
4.068 6.904 4.068
4.068 4.068 6.904
6.904 6.904 6.904
```

The 12 most intense peaks (10° ≤ 2θ ≤ 90°), sorted by position:
two_theta	I_rel
14.0	100.0
22.9	19.6
27.0	77.8
32.6	97.1
35.7	26.7
40.3	58.7
42.8	90.0
46.8	88.4
60.2	19.1
63.4	25.2
65.3	19.7
73.2	38.7


This entry pairs a crystal structure of BaTa2Se6 with its simulated X-ray diffraction stick pattern. Radiation: Cu Kα X-rays. Structure: the GGA-PBE geometry in Alexandria.

```
BaTa2Se6
1.0
6.793 0.000 0.000
-3.397 5.883 0.000
0.000 0.000 6.940
Ba Ta Se
1 2 6
Cartesian
0.000 0.000 0.000
0.000 3.922 3.470
3.397 1.961 3.470
-1.372 2.376 5.022
-2.025 3.507 1.918
2.744 0.000 5.022
1.372 2.376 1.918
4.049 0.000 1.918
2.025 3.507 5.022
```

The 12 most intense peaks (10° ≤ 2θ ≤ 90°), sorted by position:
two_theta	I_rel
12.8	38.1
15.1	19.6
19.8	100.0
26.2	18.5
29.3	51.3
33.1	18.3
37.0	91.5
42.7	36.9
46.3	26.6
47.6	17.8
50.2	15.5
58.1	24.5


This entry pairs a crystal structure of Ba2TaTiSe6 with its simulated X-ray diffraction stick pattern. Radiation: Cu Kα X-rays. Structure: the GGA-PBE geometry in Alexandria.

```
Ba2TaTiSe6
1.0
3.602 2.080 12.044
-3.602 2.080 12.044
0.000 -4.159 12.044
Ba Ta Ti Se
4 2 2 12
Cartesian
0.000 0.000 4.287
0.000 0.000 10.754
0.000 0.000 25.379
0.000 0.000 31.846
0.000 0.000 0.000
0.000 0.000 18.067
0.000 0.000 15.243
0.000 0.000 20.890
-1.848 -1.067 16.555
0.000 -2.062 13.535
-1.786 1.031 13.535
-1.786 -1.031 22.598
0.000 -2.134 19.579
-1.848 1.067 19.579
1.848 -1.067 16.555
0.000 2.134 16.555
1.786 1.031 13.535
1.786 -1.031 22.598
0.000 2.062 22.598
1.848 1.067 19.579
```

The 12 most intense peaks (10° ≤ 2θ ≤ 90°), sorted by position:
two_theta	I_rel
15.0	43.4
24.7	53.6
28.5	32.5
29.7	25.3
31.2	100.0
33.6	86.5
35.0	16.7
38.1	53.5
50.7	64.2
52.1	32.1
59.8	19.7
83.7	23.3


This entry pairs a crystal structure of Ba3Tb3TmSe8 with its simulated X-ray diffraction stick pattern. Radiation: Cu Kα X-rays. Structure: the GGA-PBE geometry in Alexandria.

```
Ba3Tb3TmSe8
1.0
4.218 2.435 7.539
-4.218 2.435 7.539
0.000 -4.871 7.539
Ba Tb Tm Se
3 3 1 8
Cartesian
-2.109 -1.218 7.539
-2.109 1.218 15.078
0.000 2.435 7.539
-4.218 0.000 11.308
-2.109 1.218 3.769
2.109 1.218 3.770
0.000 0.000 11.309
0.000 0.000 5.384
-2.093 -1.208 12.889
0.000 -2.416 9.729
-2.093 1.208 9.729
2.093 -1.208 12.889
0.000 2.416 12.889
2.093 1.208 9.729
0.000 0.000 17.233
```

The 12 most intense peaks (10° ≤ 2θ ≤ 90°), sorted by position:
two_theta	I_rel
11.7	16.3
25.6	8.2
29.1	100.0
37.1	6.8
40.3	36.3
42.9	36.0
52.7	18.9
60.3	11.1
66.5	13.5
70.2	16.0
76.8	11.0
78.6	6.2